Starting from DFT lattice parameters and positions (PBE+U), the X-ray diffraction stick pattern of VCoO4 was calculated for Cu Kα (weighted mean of Kα1 and Kα2).

Principal peaks in the range 2θ = 5–70°, by angle:
2θ (°)  I_rel
19.0  53
31.5  56
31.7  43
36.6  100
37.8  51
66.2  46

Structure:
a = 5.652 Å, b = 5.652 Å, c = 5.652 Å
α = 119.62°, β = 118.28°, γ = 91.84°
Fractional coordinates of all 12 atoms:
V 0.377 0.127 0.250
V 0.623 0.873 0.750
Co 0.000 0.500 0.500
Co 0.500 0.500 0.000
O 0.251 0.274 0.524
O 0.251 0.727 0.976
O 0.262 0.743 0.519
O 0.276 0.257 0.019
O 0.724 0.743 0.981
O 0.738 0.257 0.481
O 0.749 0.273 0.024
O 0.749 0.726 0.476